# K4Tb3PrTe8
Calculated PXRD pattern, Cu Kα. Input: a crystal structure in Alexandria, relaxed with GGA-PBE.

Largest 8 diffraction maxima, in order of rising 2θ, 10° ≤ 2θ ≤ 90°:
| d/Å | Position (°2θ) | Rel. int. |
| --- | --- | --- |
| 8.249 | 10.7 | 42 |
| 3.322 | 26.8 | 100 |
| 2.631 | 34.1 | 18 |
| 2.433 | 37.0 | 35 |
| 2.273 | 39.6 | 37 |
| 1.876 | 48.5 | 19 |
| 1.527 | 60.6 | 12 |
| 1.447 | 64.4 | 16 |

Cell and atoms:
Cell: 9.7782 9.7782 9.7782 Å, 55.42 55.42 55.42°
Element x y z (fractional)
K 0.0000 0.0000 0.0000
K 0.0000 0.5000 0.5000
K 0.5000 0.0000 0.5000
K 0.5000 0.5000 0.0000
Tb 0.0000 0.0000 0.5000
Tb 0.0000 0.5000 0.0000
Tb 0.5000 0.0000 0.0000
Pr 0.5000 0.5000 0.5000
Te 0.2301 0.7408 0.7408
Te 0.2361 0.2361 0.2361
Te 0.2592 0.2592 0.7699
Te 0.2592 0.7699 0.2592
Te 0.7408 0.2301 0.7408
Te 0.7408 0.7408 0.2301
Te 0.7639 0.7639 0.7639
Te 0.7699 0.2592 0.2592

=====

# YMg
Calculated PXRD pattern, Cu Kα. Input: a crystal structure in Alexandria, relaxed with GGA-PBE.

Largest 8 diffraction maxima, in order of rising 2θ, 10° ≤ 2θ ≤ 90°:
| d/Å | Position (°2θ) | Rel. int. |
| --- | --- | --- |
| 4.266 | 20.8 | 47 |
| 2.775 | 32.3 | 100 |
| 2.725 | 32.9 | 15 |
| 2.504 | 35.9 | 19 |
| 2.357 | 38.2 | 31 |
| 1.716 | 53.4 | 23 |
| 1.493 | 62.2 | 14 |
| 1.429 | 65.3 | 24 |

Cell and atoms:
Cell: 4.7148 4.7148 10.0171 Å, 90.00 90.00 90.00°
Element x y z (fractional)
Y 0.0000 0.2500 0.3750
Y 0.0000 0.7500 0.6250
Y 0.5000 0.2500 0.1250
Y 0.5000 0.7500 0.8750
Mg 0.0000 0.2500 0.8750
Mg 0.0000 0.7500 0.1250
Mg 0.5000 0.2500 0.6250
Mg 0.5000 0.7500 0.3750

=====

# Ac8Sn3H2
Calculated PXRD pattern, Cu Kα. Input: a crystal structure in Alexandria, relaxed with GGA-PBE.

Largest 8 diffraction maxima, in order of rising 2θ, 10° ≤ 2θ ≤ 90°:
| d/Å | Position (°2θ) | Rel. int. |
| --- | --- | --- |
| 3.463 | 25.7 | 18 |
| 3.144 | 28.4 | 100 |
| 2.934 | 30.5 | 40 |
| 2.923 | 30.6 | 36 |
| 2.010 | 45.1 | 29 |
| 1.862 | 48.9 | 29 |
| 1.804 | 50.6 | 15 |
| 1.602 | 57.5 | 32 |

Cell and atoms:
Cell: 10.3672 10.3672 10.3672 Å, 42.10 42.10 42.10°
Element x y z (fractional)
Ac 0.1835 0.1835 0.1835
Ac 0.2338 0.2338 0.7248
Ac 0.2338 0.7248 0.2338
Ac 0.2752 0.7662 0.7662
Ac 0.7248 0.2338 0.2338
Ac 0.7662 0.2752 0.7662
Ac 0.7662 0.7662 0.2752
Ac 0.8165 0.8165 0.8165
Sn 0.3002 0.3002 0.3002
Sn 0.5000 0.5000 0.5000
Sn 0.6998 0.6998 0.6998
H 0.0994 0.0994 0.0994
H 0.9006 0.9006 0.9006

=====

# Pr2GaGeRu
Calculated PXRD pattern, Cu Kα. Input: a crystal structure in Alexandria, relaxed with GGA-PBE.

Largest 8 diffraction maxima, in order of rising 2θ, 10° ≤ 2θ ≤ 90°:
| d/Å | Position (°2θ) | Rel. int. |
| --- | --- | --- |
| 3.666 | 24.3 | 26 |
| 3.310 | 26.9 | 21 |
| 3.114 | 28.7 | 67 |
| 2.647 | 33.9 | 24 |
| 2.268 | 39.7 | 100 |
| 2.202 | 41.0 | 58 |
| 1.557 | 59.4 | 20 |
| 1.283 | 73.8 | 31 |

Cell and atoms:
Cell: 4.4033 4.4033 13.2387 Å, 90.00 90.00 90.00°
Element x y z (fractional)
Pr 0.2500 0.2500 0.1161
Pr 0.2500 0.2500 0.6573
Pr 0.7500 0.7500 0.3427
Pr 0.7500 0.7500 0.8839
Ga 0.2500 0.2500 0.4034
Ga 0.7500 0.7500 0.5966
Ge 0.2500 0.2500 0.8863
Ge 0.7500 0.7500 0.1137
Ru 0.2500 0.7500 0.5000
Ru 0.7500 0.2500 0.5000

=====

# Zr6Hg3Au
Calculated PXRD pattern, Cu Kα. Input: a crystal structure in Alexandria, relaxed with GGA-PBE.

Largest 8 diffraction maxima, in order of rising 2θ, 10° ≤ 2θ ≤ 90°:
| d/Å | Position (°2θ) | Rel. int. |
| --- | --- | --- |
| 3.896 | 22.8 | 35 |
| 2.800 | 32.0 | 35 |
| 2.646 | 33.9 | 25 |
| 2.508 | 35.8 | 100 |
| 2.448 | 36.7 | 63 |
| 2.427 | 37.0 | 40 |
| 2.403 | 37.4 | 54 |
| 2.274 | 39.6 | 27 |

Cell and atoms:
Cell: 5.9216 5.9216 7.9209 Å, 105.87 105.87 59.28°
Element x y z (fractional)
Zr 0.0953 0.6030 0.1860
Zr 0.1371 0.1371 0.4325
Zr 0.3970 0.9047 0.8140
Zr 0.6030 0.0953 0.1860
Zr 0.8629 0.8629 0.5675
Zr 0.9047 0.3970 0.8140
Hg 0.3890 0.3890 0.7987
Hg 0.5000 0.5000 0.5000
Hg 0.6110 0.6110 0.2013
Au 0.0000 0.0000 0.0000

=====

# Cs4Nd3TmSe8
Calculated PXRD pattern, Cu Kα. Input: a crystal structure in Alexandria, relaxed with GGA-PBE.

Largest 8 diffraction maxima, in order of rising 2θ, 10° ≤ 2θ ≤ 90°:
| d/Å | Position (°2θ) | Rel. int. |
| --- | --- | --- |
| 3.616 | 24.6 | 12 |
| 3.238 | 27.5 | 100 |
| 2.419 | 37.2 | 34 |
| 2.179 | 41.4 | 36 |
| 2.098 | 43.1 | 14 |
| 1.808 | 50.5 | 18 |
| 1.512 | 61.3 | 13 |
| 1.391 | 67.3 | 15 |

Cell and atoms:
Cell: 8.7172 8.7172 9.7963 Å, 116.42 116.42 60.00°
Element x y z (fractional)
Cs 0.0000 0.0000 0.0000
Cs 0.0000 0.5000 0.0000
Cs 0.5000 0.0000 0.0000
Cs 0.5000 0.5000 0.0000
Nd 0.0000 0.0000 0.5000
Nd 0.0000 0.5000 0.5000
Nd 0.5000 0.0000 0.5000
Tm 0.5000 0.5000 0.5000
Se 0.2309 0.2309 0.6917
Se 0.2387 0.7249 0.6877
Se 0.2751 0.7613 0.3123
Se 0.2763 0.2763 0.3130
Se 0.7237 0.7237 0.6870
Se 0.7249 0.2387 0.6877
Se 0.7613 0.2751 0.3123
Se 0.7691 0.7691 0.3083

=====

# PmGdPd
Calculated PXRD pattern, Cu Kα. Input: a crystal structure in Alexandria, relaxed with GGA-PBE.

Largest 8 diffraction maxima, in order of rising 2θ, 10° ≤ 2θ ≤ 90°:
| d/Å | Position (°2θ) | Rel. int. |
| --- | --- | --- |
| 3.483 | 25.6 | 9 |
| 2.691 | 33.3 | 100 |
| 2.574 | 34.9 | 52 |
| 2.002 | 45.3 | 10 |
| 1.820 | 50.1 | 19 |
| 1.578 | 58.5 | 11 |
| 1.507 | 61.5 | 34 |
| 1.346 | 69.9 | 12 |

Cell and atoms:
Cell: 3.6397 3.6397 11.9881 Å, 90.00 90.00 90.00°
Element x y z (fractional)
Pm 0.0000 0.0000 0.0000
Pm 0.5000 0.5000 0.5000
Gd 0.0000 0.0000 0.7160
Gd 0.5000 0.5000 0.2160
Pd 0.0000 0.0000 0.3535
Pd 0.5000 0.5000 0.8535

=====

# TlCdBiPb
Calculated PXRD pattern, Cu Kα. Input: a crystal structure in Alexandria, relaxed with GGA-PBE.

Largest 8 diffraction maxima, in order of rising 2θ, 10° ≤ 2θ ≤ 90°:
| d/Å | Position (°2θ) | Rel. int. |
| --- | --- | --- |
| 3.516 | 25.3 | 8 |
| 2.779 | 32.2 | 100 |
| 1.965 | 46.2 | 17 |
| 1.906 | 47.7 | 6 |
| 1.605 | 57.4 | 33 |
| 1.459 | 63.8 | 6 |
| 1.390 | 67.4 | 10 |
| 1.243 | 76.7 | 13 |

Cell and atoms:
Cell: 3.9311 3.9311 7.8586 Å, 90.00 90.00 90.00°
Element x y z (fractional)
Tl 0.0000 0.0000 0.0000
Cd 0.0000 0.0000 0.4900
Bi 0.5000 0.5000 0.2814
Pb 0.5000 0.5000 0.7067

=====

# NaLi2H6
Calculated PXRD pattern, Cu Kα. Input: a crystal structure in Alexandria, relaxed with GGA-PBE.

Largest 8 diffraction maxima, in order of rising 2θ, 10° ≤ 2θ ≤ 90°:
| d/Å | Position (°2θ) | Rel. int. |
| --- | --- | --- |
| 3.772 | 23.6 | 77 |
| 3.267 | 27.3 | 42 |
| 2.310 | 39.0 | 100 |
| 1.970 | 46.1 | 59 |
| 1.633 | 56.3 | 18 |
| 1.499 | 61.9 | 27 |
| 1.334 | 70.6 | 27 |
| 1.257 | 75.6 | 14 |

Cell and atoms:
Cell: 4.6202 4.6202 4.6202 Å, 60.00 60.00 60.00°
Element x y z (fractional)
Na 0.0000 0.0000 0.0000
Li 0.2500 0.2500 0.2500
Li 0.7500 0.7500 0.7500
H 0.3338 0.3338 0.6662
H 0.3338 0.6662 0.3338
H 0.3338 0.6662 0.6662
H 0.6662 0.3338 0.3338
H 0.6662 0.3338 0.6662
H 0.6662 0.6662 0.3338

=====

# HoNpTlO6
Calculated PXRD pattern, Cu Kα. Input: a crystal structure in Alexandria, relaxed with GGA-PBE.

Largest 8 diffraction maxima, in order of rising 2θ, 10° ≤ 2θ ≤ 90°:
| d/Å | Position (°2θ) | Rel. int. |
| --- | --- | --- |
| 4.928 | 18.0 | 20 |
| 3.456 | 25.8 | 100 |
| 2.799 | 32.0 | 60 |
| 2.434 | 36.9 | 21 |
| 2.175 | 41.5 | 29 |
| 1.849 | 49.3 | 50 |
| 1.717 | 53.3 | 28 |
| 1.616 | 57.0 | 18 |

Cell and atoms:
Cell: 5.5978 5.5978 9.8559 Å, 90.00 90.00 120.00°
Element x y z (fractional)
Ho 0.0000 0.0000 0.0000
Ho 0.0000 0.0000 0.5000
Np 0.3333 0.6667 0.2500
Np 0.6667 0.3333 0.7500
Tl 0.3333 0.6667 0.7500
Tl 0.6667 0.3333 0.2500
O 0.0295 0.3529 0.1308
O 0.0295 0.6766 0.3692
O 0.3234 0.3529 0.3692
O 0.3234 0.9705 0.1308
O 0.3529 0.0295 0.6308
O 0.3529 0.3234 0.8692
O 0.6471 0.6766 0.1308
O 0.6471 0.9705 0.3692
O 0.6766 0.0295 0.8692
O 0.6766 0.6471 0.6308
O 0.9705 0.3234 0.6308
O 0.9705 0.6471 0.8692

=====

# Na2CuHSe2
Calculated PXRD pattern, Cu Kα. Input: a crystal structure in Alexandria, relaxed with GGA-PBE.

Largest 8 diffraction maxima, in order of rising 2θ, 10° ≤ 2θ ≤ 90°:
| d/Å | Position (°2θ) | Rel. int. |
| --- | --- | --- |
| 6.418 | 13.8 | 84 |
| 5.476 | 16.2 | 31 |
| 3.494 | 25.5 | 27 |
| 3.465 | 25.7 | 100 |
| 2.531 | 35.5 | 60 |
| 2.202 | 41.0 | 62 |
| 2.113 | 42.8 | 57 |
| 2.058 | 44.0 | 74 |

Cell and atoms:
Cell: 7.6314 7.6314 7.6314 Å, 133.26 65.50 136.83°
Element x y z (fractional)
Na 0.1629 0.2330 0.3959
Na 0.3371 0.7330 0.0701
Na 0.6629 0.2670 0.9299
Na 0.8371 0.7670 0.6041
Cu 0.2500 0.7500 0.5000
Cu 0.7500 0.2500 0.5000
H 0.2500 0.2500 0.0000
H 0.7500 0.7500 0.0000
Se 0.1013 0.7684 0.8697
Se 0.3987 0.2684 0.6671
Se 0.6013 0.7316 0.3329
Se 0.8987 0.2316 0.1303

=====

# CaPr12Tm3
Calculated PXRD pattern, Cu Kα. Input: a crystal structure in Alexandria, relaxed with GGA-PBE.

Largest 8 diffraction maxima, in order of rising 2θ, 10° ≤ 2θ ≤ 90°:
| d/Å | Position (°2θ) | Rel. int. |
| --- | --- | --- |
| 3.002 | 29.8 | 100 |
| 2.599 | 34.5 | 51 |
| 1.838 | 49.6 | 36 |
| 1.568 | 58.9 | 43 |
| 1.501 | 61.8 | 12 |
| 1.300 | 72.8 | 6 |
| 1.193 | 80.5 | 17 |
| 1.162 | 83.1 | 16 |

Cell and atoms:
Cell: 5.1994 5.1994 20.7907 Å, 90.00 90.00 90.00°
Element x y z (fractional)
Ca 0.0000 0.0000 0.0000
Pr 0.0000 0.5000 0.1302
Pr 0.0000 0.5000 0.3764
Pr 0.0000 0.5000 0.6236
Pr 0.0000 0.5000 0.8698
Pr 0.5000 0.0000 0.1302
Pr 0.5000 0.0000 0.3764
Pr 0.5000 0.0000 0.6236
Pr 0.5000 0.0000 0.8698
Pr 0.5000 0.5000 0.0000
Pr 0.5000 0.5000 0.2520
Pr 0.5000 0.5000 0.5000
Pr 0.5000 0.5000 0.7480
Tm 0.0000 0.0000 0.2520
Tm 0.0000 0.0000 0.5000
Tm 0.0000 0.0000 0.7480